(1)
For MnI2O6, a PBE+U-relaxed structure gives the theoretical X-ray diffraction stick pattern in this record (copper Kα).
No peak broadening, texture or thermal motion is included.

Peak list (6 most intense, 10° ≤ 2θ ≤ 90°, sorted by position)
hkl, 2theta, d [Å], I/Imax
1 1 1, 24.65, 3.611, 100
0 1 2, 24.76, 3.596, 48
2 0 0, 31.46, 2.843, 17
1 0 -3, 31.64, 2.828, 14
1 0 3, 31.81, 2.813, 16
1 2 3, 46.96, 1.935, 14

Atomic structure:
Lattice parameters (Å, degrees): 5.687 5.330 9.745 90.00 90.35 90.00
Space group P2_1 (No. 4)
Unique sites:
Mn 0.233 0.000 0.245
I 0.263 0.579 0.567
I 0.270 0.098 0.898
O 0.013 0.233 0.382
O 0.097 0.285 0.775
O 0.150 0.213 0.061
O 0.345 0.783 0.423
O 0.452 0.773 0.104
O 0.460 0.722 0.696


(2)
For MnI2O6, a PBE+U-relaxed structure gives the theoretical X-ray diffraction stick pattern in this record (copper Kα).
No peak broadening, texture or thermal motion is included.

Peak list (6 most intense, 10° ≤ 2θ ≤ 90°, sorted by position)
hkl, 2theta, d [Å], I/Imax
1 1 1, 21.66, 4.102, 24
0 2 0, 26.09, 3.416, 22
3 1 1, 27.51, 3.242, 100
0 0 2, 32.80, 2.730, 13
6 0 2, 49.50, 1.841, 11
3 1 3, 55.39, 1.659, 13

Atomic structure:
Lattice parameters (Å, degrees): 14.965 6.832 5.460 90.00 90.00 90.00
Space group Pbcn (No. 60)
Unique sites:
Mn 0.000 0.145 0.250
I 0.152 0.287 0.748
O 0.079 0.107 0.911
O 0.084 0.337 0.471
O 0.238 0.126 0.627


(3)
For MnI2O6, a PBE+U-relaxed structure gives the theoretical X-ray diffraction stick pattern in this record (copper Kα).
No peak broadening, texture or thermal motion is included.

Peak list (6 most intense, 10° ≤ 2θ ≤ 90°, sorted by position)
hkl, 2theta, d [Å], I/Imax
0 1 3, 21.66, 4.103, 53
1 0 3, 22.25, 3.996, 52
1 1 1, 22.84, 3.893, 100
1 1 2, 24.52, 3.630, 63
1 0 4, 26.09, 3.416, 39
1 1 3, 27.10, 3.290, 78

Atomic structure:
Lattice parameters (Å, degrees): 5.508 5.800 17.414 90.00 90.00 90.00
Space group P2_12_12_1 (No. 19)
Unique sites:
Mn 0.210 0.170 0.094
I 0.035 0.863 0.923
I 0.246 0.718 0.292
O 0.023 0.030 0.205
O 0.036 0.479 0.839
O 0.054 0.611 0.516
O 0.110 0.501 0.662
O 0.128 0.875 0.377
O 0.225 0.175 0.547


(4)
For MnI2O6, a PBE+U-relaxed structure gives the theoretical X-ray diffraction stick pattern in this record (copper Kα).
No peak broadening, texture or thermal motion is included.

Peak list (6 most intense, 10° ≤ 2θ ≤ 90°, sorted by position)
hkl, 2theta, d [Å], I/Imax
1 2 -1, 20.83, 4.264, 47
0 0 2, 25.09, 3.549, 65
0 1 2, 26.32, 3.386, 36
2 0 -2, 27.45, 3.249, 68
1 3 0, 28.23, 3.161, 100
1 3 -2, 32.01, 2.796, 40

Atomic structure:
Lattice parameters (Å, degrees): 6.863 11.301 8.380 90.00 122.10 90.00
Space group P2_1/c (No. 14)
Unique sites:
Mn 0.185 0.101 0.481
I 0.227 0.078 0.965
I 0.337 0.712 0.062
O 0.017 0.538 0.328
O 0.048 0.213 0.883
O 0.135 0.589 0.021
O 0.374 0.096 0.833
O 0.433 0.113 0.403
O 0.458 0.737 0.315


(5)
For Mn3Sb2I4O4, a PBE+U-relaxed structure gives the theoretical X-ray diffraction stick pattern in this record (copper Kα).
No peak broadening, texture or thermal motion is included.

Peak list (6 most intense, 10° ≤ 2θ ≤ 90°, sorted by position)
hkl, 2theta, d [Å], I/Imax
0 1 0, 12.07, 7.330, 59
1 0 3, 22.76, 3.908, 74
-1 1 2, 25.44, 3.501, 55
2 1 0, 26.93, 3.311, 74
1 2 3, 28.61, 3.120, 100
2 3 0, 36.57, 2.457, 57

Atomic structure:
Lattice parameters (Å, degrees): 6.623 8.041 15.382 89.98 89.98 65.71
Space group P1 (No. 1)
Unique sites:
Mn 0.000 0.000 0.000
Mn 0.014 0.974 0.499
Mn 0.255 0.989 0.250
Mn 0.499 0.001 0.000
Mn 0.514 0.975 0.500
Mn 0.757 0.988 0.749
Sb 0.164 0.173 0.808
Sb 0.349 0.803 0.692
Sb 0.664 0.173 0.192
Sb 0.848 0.803 0.308
I 0.101 0.298 0.126
I 0.131 0.241 0.408
I 0.383 0.735 0.092
I 0.412 0.678 0.374
I 0.601 0.298 0.874
I 0.631 0.241 0.592
I 0.882 0.735 0.908
I 0.912 0.678 0.626
O 0.066 0.988 0.750
O 0.223 0.054 0.923
O 0.290 0.922 0.576
O 0.448 0.988 0.750
O 0.565 0.988 0.250
O 0.723 0.054 0.076
O 0.790 0.921 0.423
O 0.947 0.988 0.250


(6)
For Mn3Sb5I3O9, a PBE+U-relaxed structure gives the theoretical X-ray diffraction stick pattern in this record (copper Kα).
No peak broadening, texture or thermal motion is included.

Peak list (6 most intense, 10° ≤ 2θ ≤ 90°, sorted by position)
hkl, 2theta, d [Å], I/Imax
1 1 -3, 26.95, 3.309, 100
-2 1 1, 28.63, 3.118, 54
2 1 3, 29.11, 3.068, 92
1 3 1, 29.24, 3.054, 53
0 2 4, 32.67, 2.741, 49
3 2 0, 33.92, 2.643, 51

Atomic structure:
Lattice parameters (Å, degrees): 8.311 9.176 12.563 78.42 85.25 70.25
Space group P-1 (No. 2)
Unique sites:
Mn 0.024 0.468 0.129
Mn 0.292 0.511 0.647
Mn 0.390 0.409 0.932
Sb 0.118 0.318 0.500
Sb 0.186 0.767 0.983
Sb 0.207 0.180 0.797
Sb 0.245 0.656 0.257
Sb 0.472 0.289 0.242
I 0.095 0.824 0.687
I 0.284 0.142 0.075
I 0.491 0.795 0.424
O 0.031 0.755 0.137
O 0.073 0.264 0.658
O 0.137 0.530 0.517
O 0.147 0.563 0.982
O 0.223 0.446 0.232
O 0.224 0.391 0.803
O 0.353 0.701 0.107
O 0.436 0.644 0.908
O 0.496 0.475 0.291